Starting from DFT lattice parameters and positions (GGA-PBE), the XRD peak list of CdH8Rh4 was computed for Cu Kα (weighted mean of Kα1 and Kα2).
Intensities are scaled so that the largest is 100.

Largest 6 diffraction maxima, in order of rising 2θ, 2θ from 10° to 90°:
2θ (°), d_spacing, I (rel.), hkl
18.48, 4.801, 100, 1 0 0
37.47, 2.400, 44, 2 0 0
37.81, 2.380, 48, 0 2 0
39.03, 2.308, 41, 1 0 -2
40.41, 2.232, 37, 1 -2 2
44.43, 2.039, 33, 1 0 2

Atomic structure:
Unit cell a=4.9256 b=5.6212 c=5.6445 alpha=119.82 beta=92.81 gamma=99.50
Space group P-1 (No. 2)
Unique sites:
Cd 0.0000 0.0000 0.0000
H 0.3094 0.8028 0.3933
H 0.3243 0.3023 0.8753
H 0.3296 0.3042 0.4152
H 0.3390 0.7689 0.8780
Rh 0.4654 0.4930 0.2446
Rh 0.4958 0.9997 0.7488



Starting from DFT lattice parameters and positions (GGA-PBE), the XRD peak list of CdH8Rh4 was computed for Cu Kα (weighted mean of Kα1 and Kα2).
Intensities are scaled so that the largest is 100.

Largest 6 diffraction maxima, in order of rising 2θ, 2θ from 10° to 90°:
2θ (°), d_spacing, I (rel.), hkl
19.41, 4.574, 48, 1 1 1
37.66, 2.388, 100, 3 1 1
39.40, 2.287, 59, 2 2 2
60.75, 1.525, 33, 5 1 1
66.80, 1.400, 29, 4 4 0
80.41, 1.194, 22, 6 2 2

Atomic structure:
Unit cell a=7.9217 b=7.9217 c=7.9217 alpha=90.00 beta=90.00 gamma=90.00
Space group F-43m (No. 216)
Unique sites:
Cd 0.0000 0.0000 0.0000
H 0.1072 0.1072 0.3928
H 0.1488 0.1488 0.8512
Rh 0.1235 0.1235 0.6235



Starting from DFT lattice parameters and positions (GGA-PBE), the XRD peak list of Cd4H2Rh3 was computed for Cu Kα (weighted mean of Kα1 and Kα2).
Intensities are scaled so that the largest is 100.

Largest 6 diffraction maxima, in order of rising 2θ, 2θ from 10° to 90°:
2θ (°), d_spacing, I (rel.), hkl
32.28, 2.773, 44, 0 1 -3
33.54, 2.672, 32, 0 0 3
38.40, 2.344, 60, 0 2 1
38.66, 2.329, 100, 1 -2 1
40.26, 2.240, 80, 1 0 2
75.96, 1.253, 20, 2 1 1

Atomic structure:
Unit cell a=2.9637 b=5.8875 c=8.4634 alpha=107.94 beta=90.11 gamma=104.47
Space group P-1 (No. 2)
Unique sites:
Cd 0.1313 0.2632 0.0011
Cd 0.2870 0.5749 0.3621
H 0.0143 0.0310 0.7170
Rh 0.0000 0.0000 0.5000
Rh 0.4363 0.8723 0.7477